The following is a simulated powder diffraction line list of BaNb8O14. It was derived from DFT lattice parameters and positions (PBE), using Cu Kα (weighted mean of Kα1 and Kα2).

Atomic structure:
```
46
Lattice="9.509 0.000 0.000 0.000 10.407 0.000 0.000 0.000 6.025" Properties=species:S:1:pos:R:3 pbc="T T T"
Ba 0.000 0.000 0.000
Ba 4.754 5.203 0.000
Nb 1.118 1.707 3.012
Nb 1.136 6.914 0.000
Nb 1.176 4.408 1.395
Nb 1.176 4.408 4.630
Nb 3.578 9.612 1.395
Nb 3.578 9.612 4.630
Nb 3.618 1.710 0.000
Nb 3.637 6.911 3.012
Nb 5.872 3.496 3.012
Nb 5.891 8.696 0.000
Nb 5.931 0.795 1.395
Nb 5.931 0.795 4.630
Nb 8.332 5.999 1.395
Nb 8.332 5.999 4.630
Nb 8.372 3.493 0.000
Nb 8.391 8.699 3.012
O 0.000 0.000 3.012
O 0.000 5.203 3.012
O 0.050 2.571 1.488
O 0.050 2.571 4.537
O 2.205 3.353 3.012
O 2.316 0.907 1.505
O 2.316 0.907 4.520
O 2.318 8.785 0.000
O 2.437 3.582 0.000
O 2.438 6.111 1.505
O 2.438 6.111 4.520
O 2.550 8.557 3.012
O 4.704 7.775 1.488
O 4.704 7.775 4.537
O 4.754 0.000 3.012
O 4.754 5.203 3.012
O 4.805 2.632 1.488
O 4.805 2.632 4.537
O 6.959 1.850 3.012
O 7.070 4.296 1.505
O 7.070 4.296 4.520
O 7.072 6.825 0.000
O 7.191 1.622 0.000
O 7.193 9.500 1.505
O 7.193 9.500 4.520
O 7.304 7.054 3.012
O 9.458 7.836 1.488
O 9.458 7.836 4.537
```

Largest 10 diffraction maxima, low angle first, 2θ from 5° to 70°:
2theta, intensity
25.4, 94
29.5, 46
31.2, 86
31.9, 36
32.3, 63
33.1, 34
35.7, 62
45.0, 100
52.1, 52
61.7, 40

The following is a simulated powder diffraction line list of HfIr. It was derived from DFT lattice parameters and positions (PBE), using Cu Kα (weighted mean of Kα1 and Kα2).

Atomic structure:
```
2
Lattice="3.106 0.000 0.000 0.000 3.106 0.000 0.000 0.000 3.634" Properties=species:S:1:pos:R:3 pbc="T T T"
Hf 0.000 0.000 0.000
Ir 1.553 1.553 1.817
```

Largest 5 diffraction maxima, low angle first, 2θ from 5° to 70°:
2theta, intensity
38.1, 100
41.1, 41
50.2, 11
59.5, 14
66.8, 20

The following is a simulated powder diffraction line list of Na3BiAsCO7. It was derived from DFT lattice parameters and positions (PBE), using Cu Kα (weighted mean of Kα1 and Kα2).

Atomic structure:
```
26
Lattice="5.167 0.000 0.000 0.000 7.412 0.000 -0.135 0.000 9.849" Properties=species:S:1:pos:R:3 pbc="T T T"
Na 1.203 1.853 0.792
Na 1.210 3.829 7.413
Na 1.210 7.289 7.413
Na 3.821 0.123 2.436
Na 3.821 3.583 2.436
Na 3.829 5.559 9.056
Bi 1.161 5.559 3.409
Bi 3.870 1.853 6.440
As 1.375 1.853 3.961
As 3.656 5.559 5.888
C 1.416 5.559 0.469
C 3.615 1.853 9.380
O 0.266 5.559 1.099
O 0.892 1.853 6.016
O 1.084 0.458 2.833
O 1.084 3.248 2.833
O 1.307 5.559 9.021
O 1.879 5.559 5.765
O 2.516 5.559 1.157
O 2.516 1.853 8.691
O 3.152 1.853 4.084
O 3.724 1.853 0.828
O 3.947 4.164 7.016
O 3.947 6.954 7.016
O 4.139 5.559 3.832
O 4.765 1.853 8.750
```

Largest 10 diffraction maxima, low angle first, 2θ from 5° to 70°:
2theta, intensity
9.0, 100
15.0, 44
19.3, 36
19.5, 35
24.0, 67
24.8, 36
31.0, 35
31.1, 33
34.8, 76
44.2, 28

The following is a simulated powder diffraction line list of Sn3Sb. It was derived from DFT lattice parameters and positions (PBE), using Cu Kα (weighted mean of Kα1 and Kα2).

Atomic structure:
```
4
Lattice="1.594 -4.237 0.000 1.594 4.237 0.000 0.000 0.000 8.530" Properties=species:S:1:pos:R:3 pbc="T T T"
Sn 0.000 0.000 0.000
Sn 0.797 2.118 2.123
Sn 0.797 -2.118 6.407
Sb 1.594 0.000 4.265
```

Largest 10 diffraction maxima, low angle first, 2θ from 5° to 70°:
2theta, intensity
29.7, 100
31.8, 84
42.4, 19
42.7, 19
44.0, 35
44.1, 34
54.1, 19
61.7, 13
62.2, 25
62.7, 12

The following is a simulated powder diffraction line list of Li3GeO4. It was derived from DFT lattice parameters and positions (PBE), using Cu Kα (weighted mean of Kα1 and Kα2).

Atomic structure:
```
16
Lattice="6.432 0.000 0.000 0.000 5.596 0.000 0.000 0.000 4.922" Properties=species:S:1:pos:R:3 pbc="T T T"
Li 0.000 0.942 0.000
Li 1.572 1.858 2.458
Li 1.644 3.737 4.919
Li 3.216 4.654 2.461
Li 4.788 3.737 4.919
Li 4.860 1.858 2.458
Ge 0.000 4.651 2.517
Ge 3.216 0.945 0.056
O 0.000 0.746 1.992
O 0.000 4.632 4.300
O 1.466 3.775 2.018
O 1.750 1.820 4.479
O 3.216 0.963 1.839
O 3.216 4.850 4.453
O 4.682 1.820 4.479
O 4.966 3.775 2.018
```

Largest 10 diffraction maxima, low angle first, 2θ from 5° to 70°:
2theta, intensity
15.8, 29
21.0, 94
22.7, 100
24.1, 64
27.8, 27
32.1, 44
36.5, 36
37.0, 36
57.1, 27
66.1, 28

The following is a simulated powder diffraction line list of K2SrCl4. It was derived from DFT lattice parameters and positions (PBE), using Cu Kα (weighted mean of Kα1 and Kα2).

Atomic structure:
```
28
Lattice="8.076 0.000 0.000 0.000 13.155 0.000 -2.776 0.000 7.690" Properties=species:S:1:pos:R:3 pbc="T T T"
K 0.000 0.728 0.000
K -1.388 12.426 3.845
K 4.071 5.787 0.155
K 2.683 7.367 3.999
K 4.017 2.494 3.039
K 2.629 10.660 6.884
K 5.362 4.903 6.352
K 6.750 8.252 2.507
Sr -0.130 4.041 2.869
Sr -1.518 9.114 6.714
Sr 1.204 1.620 6.429
Sr 2.592 11.535 2.585
Cl -1.448 2.361 4.906
Cl -0.060 10.793 1.061
Cl 0.978 6.353 1.600
Cl -0.410 6.802 5.445
Cl 1.059 0.887 2.932
Cl -0.329 12.268 6.777
Cl 2.297 3.191 0.541
Cl 0.909 9.964 4.386
Cl 2.013 4.040 4.918
Cl 3.401 9.114 1.073
Cl 3.455 0.082 5.280
Cl 4.843 13.072 1.435
Cl 5.265 5.500 3.090
Cl 3.877 7.655 6.935
Cl 6.276 3.147 0.543
Cl 4.888 10.008 4.388
```

Largest 10 diffraction maxima, low angle first, 2θ from 5° to 70°:
2theta, intensity
23.4, 26
30.1, 100
30.3, 88
35.7, 26
35.9, 23
36.1, 55
43.1, 18
43.5, 20
45.7, 14
50.0, 15

The following is a simulated powder diffraction line list of Mg3Ti2Si4O14. It was derived from DFT lattice parameters and positions (PBE), using Cu Kα (weighted mean of Kα1 and Kα2).

Atomic structure:
```
46
Lattice="8.502 -3.835 0.000 8.502 3.835 0.000 -5.438 0.000 8.099" Properties=species:S:1:pos:R:3 pbc="T T T"
Mg 4.423 2.976 6.074
Mg 2.234 0.726 4.787
Mg 4.952 -0.726 0.737
Mg 6.613 0.726 7.362
Mg 9.332 -0.726 3.312
Mg 7.142 -2.976 2.025
Ti 7.142 1.484 2.025
Ti 8.502 0.000 0.000
Ti 5.783 0.000 4.049
Ti 4.423 -1.484 6.074
Si 1.579 2.762 7.238
Si 3.793 2.172 2.313
Si 7.268 2.762 4.911
Si 10.491 2.172 1.737
Si 1.074 -2.172 6.362
Si 4.298 -2.762 3.188
Si 7.772 -2.172 5.786
Si 9.987 -2.762 0.861
O 3.029 1.651 0.951
O 2.712 2.250 3.522
O 7.256 3.194 0.686
O 7.028 3.194 3.364
O -1.302 0.138 6.053
O 1.417 -0.138 2.003
O 2.765 1.731 6.655
O 5.067 1.178 2.484
O 6.081 1.731 5.494
O 6.681 0.237 0.636
O 11.573 2.250 0.528
O 0.310 -1.651 5.001
O 3.962 -0.237 4.686
O 9.217 1.178 1.565
O 2.348 -1.178 6.534
O 7.603 0.237 3.413
O 11.255 1.651 3.098
O -0.007 -2.250 7.571
O 4.884 -0.237 7.462
O 5.484 -1.731 2.605
O 6.498 -1.178 5.614
O 8.800 -1.731 1.444
O 10.149 0.138 6.096
O 12.868 -0.138 2.046
O 4.537 -3.194 4.735
O 4.309 -3.194 7.413
O 8.854 -2.250 4.577
O 8.536 -1.651 7.148
```

Largest 10 diffraction maxima, low angle first, 2θ from 5° to 70°:
2theta, intensity
12.5, 44
19.5, 41
26.4, 41
28.6, 83
29.1, 89
29.5, 53
31.3, 92
32.1, 56
39.1, 100
40.3, 63

The following is a simulated powder diffraction line list of YMg2. It was derived from DFT lattice parameters and positions (PBE), using Cu Kα (weighted mean of Kα1 and Kα2).

Atomic structure:
```
6
Lattice="3.322 0.000 0.000 -1.661 2.877 0.000 0.000 0.000 16.689" Properties=species:S:1:pos:R:3 pbc="T T T"
Y 0.000 0.000 2.823
Y 0.000 0.000 13.866
Mg 0.000 0.000 8.345
Mg 0.000 1.918 0.000
Mg 0.000 1.918 5.684
Mg 0.000 1.918 11.005
```

Largest 10 diffraction maxima, low angle first, 2θ from 5° to 70°:
2theta, intensity
5.3, 67
10.6, 19
15.9, 31
31.1, 36
32.2, 26
35.1, 100
45.4, 24
59.3, 20
65.5, 19
67.2, 17

The following is a simulated powder diffraction line list of Ba4IrN4. It was derived from DFT lattice parameters and positions (PBE), using Cu Kα (weighted mean of Kα1 and Kα2).

Atomic structure:
```
18
Lattice="6.976 0.000 0.000 2.789 6.925 0.000 2.627 2.909 9.010" Properties=species:S:1:pos:R:3 pbc="T T T"
Ba 1.918 2.658 3.246
Ba 3.441 6.049 1.411
Ba 5.603 4.962 8.780
Ba 5.192 3.234 5.025
Ba 7.201 6.600 3.985
Ba 6.790 4.872 0.230
Ba 8.952 3.785 7.599
Ba 10.475 7.176 5.764
Ir 6.606 7.845 7.117
Ir 5.787 1.989 1.893
N 4.923 7.749 8.120
N 5.847 8.588 5.408
N 4.635 2.542 7.832
N 4.720 3.484 2.060
N 7.673 6.350 6.950
N 7.758 7.292 1.178
N 6.546 1.246 3.602
N 7.470 2.085 0.891
```

Largest 10 diffraction maxima, low angle first, 2θ from 5° to 70°:
2theta, intensity
14.0, 22
27.1, 70
27.8, 62
28.2, 83
28.3, 70
30.1, 100
39.1, 26
39.3, 18
44.1, 20
47.3, 14

The following is a simulated powder diffraction line list of Ba2CaUO6. It was derived from DFT lattice parameters and positions (PBE), using Cu Kα (weighted mean of Kα1 and Kα2).

Atomic structure:
```
20
Lattice="6.228 0.000 0.000 0.000 6.191 0.000 -6.202 0.000 8.744" Properties=species:S:1:pos:R:3 pbc="T T T"
Ba -0.026 0.095 2.187
Ba -3.127 3.001 6.559
Ba 3.153 3.191 2.185
Ba 0.052 6.096 6.557
Ca 3.114 0.000 0.000
Ca 0.013 3.096 4.372
U -3.101 0.000 4.372
U 0.000 3.096 0.000
O -4.868 1.506 8.402
O -1.767 1.590 4.030
O -4.617 4.435 8.432
O -1.516 4.852 4.060
O -2.662 0.075 6.426
O 0.438 3.021 2.054
O -0.413 3.170 6.690
O 2.688 6.117 2.318
O 1.542 1.339 4.684
O 4.643 1.756 0.312
O 1.793 4.601 4.714
O 4.894 4.686 0.342
```

Largest 10 diffraction maxima, low angle first, 2θ from 5° to 70°:
2theta, intensity
17.5, 38
28.7, 19
28.8, 100
33.9, 14
41.1, 23
41.3, 11
50.8, 9
50.9, 14
51.1, 29
59.8, 10

Please write out number 2 again, unchanged.
The following is a simulated powder diffraction line list of HfIr. It was derived from DFT lattice parameters and positions (PBE), using Cu Kα (weighted mean of Kα1 and Kα2).

Atomic structure:
```
2
Lattice="3.106 0.000 0.000 0.000 3.106 0.000 0.000 0.000 3.634" Properties=species:S:1:pos:R:3 pbc="T T T"
Hf 0.000 0.000 0.000
Ir 1.553 1.553 1.817
```

Largest 5 diffraction maxima, low angle first, 2θ from 5° to 70°:
2theta, intensity
38.1, 100
41.1, 41
50.2, 11
59.5, 14
66.8, 20

What did the third record say?
The following is a simulated powder diffraction line list of Na3BiAsCO7. It was derived from DFT lattice parameters and positions (PBE), using Cu Kα (weighted mean of Kα1 and Kα2).

Atomic structure:
```
26
Lattice="5.167 0.000 0.000 0.000 7.412 0.000 -0.135 0.000 9.849" Properties=species:S:1:pos:R:3 pbc="T T T"
Na 1.203 1.853 0.792
Na 1.210 3.829 7.413
Na 1.210 7.289 7.413
Na 3.821 0.123 2.436
Na 3.821 3.583 2.436
Na 3.829 5.559 9.056
Bi 1.161 5.559 3.409
Bi 3.870 1.853 6.440
As 1.375 1.853 3.961
As 3.656 5.559 5.888
C 1.416 5.559 0.469
C 3.615 1.853 9.380
O 0.266 5.559 1.099
O 0.892 1.853 6.016
O 1.084 0.458 2.833
O 1.084 3.248 2.833
O 1.307 5.559 9.021
O 1.879 5.559 5.765
O 2.516 5.559 1.157
O 2.516 1.853 8.691
O 3.152 1.853 4.084
O 3.724 1.853 0.828
O 3.947 4.164 7.016
O 3.947 6.954 7.016
O 4.139 5.559 3.832
O 4.765 1.853 8.750
```

Largest 10 diffraction maxima, low angle first, 2θ from 5° to 70°:
2theta, intensity
9.0, 100
15.0, 44
19.3, 36
19.5, 35
24.0, 67
24.8, 36
31.0, 35
31.1, 33
34.8, 76
44.2, 28